# LaPm3Rh2
Simulated powder diffractogram, Cu Ka. Input: a cell relaxed with GGA-PBE.
No peak broadening, texture or thermal motion is included.

Lattice parameters (Å, degrees): 6.959 13.925 7.261 90.00 90.00 90.00
Space group Ibam (No. 72)
Symmetry-distinct sites (fractional):
1 La 0.000 0.000 0.000 [4 per cell]
2 Pm 0.000 0.239 0.250 [8 per cell]
3 Pm 0.000 0.500 0.250 [4 per cell]
4 Rh 0.222 0.366 0.000 [8 per cell]

Main lines, most intense first (10° ≤ 2θ ≤ 90°):
2.461 Å, 2θ 36.5, intensity 100, (2 4 0)
2.512 Å, 2θ 35.7, intensity 92, (2 0 2)
3.480 Å, 2θ 25.6, intensity 59, (2 0 0)
2.645 Å, 2θ 33.9, intensity 59, (1 3 2)
4.074 Å, 2θ 21.8, intensity 57, (1 2 1)
1.461 Å, 2θ 63.7, intensity 39, (2 4 4)
3.136 Å, 2θ 28.5, intensity 38, (1 1 2)
1.740 Å, 2θ 52.6, intensity 33, (4 0 0)
2.363 Å, 2θ 38.1, intensity 28, (2 2 2)
1.431 Å, 2θ 65.2, intensity 25, (4 4 2)



# LaPm5Rh2
Simulated powder diffractogram, Cu Ka. Input: a cell relaxed with GGA-PBE.
No peak broadening, texture or thermal motion is included.

Lattice parameters (Å, degrees): 4.145 7.425 16.220 90.00 90.00 90.00
Space group Immm (No. 71)
Symmetry-distinct sites (fractional):
1 La 0.000 0.000 0.000 [2 per cell]
2 Pm 0.000 0.253 0.341 [8 per cell]
3 Pm 0.000 0.500 0.000 [2 per cell]
4 Rh 0.000 0.500 0.184 [4 per cell]

Main lines, most intense first (10° ≤ 2θ ≤ 90°):
2.726 Å, 2θ 32.9, intensity 100, (1 2 1)
3.290 Å, 2θ 27.1, intensity 77, (1 0 3)
2.703 Å, 2θ 33.1, intensity 54, (0 0 6)
2.738 Å, 2θ 32.7, intensity 45, (0 2 4)
2.105 Å, 2θ 43.0, intensity 42, (1 2 5)
2.462 Å, 2θ 36.5, intensity 40, (1 2 3)
1.653 Å, 2θ 55.6, intensity 32, (1 0 9)
2.073 Å, 2θ 43.7, intensity 28, (2 0 0)
3.376 Å, 2θ 26.4, intensity 28, (0 2 2)
1.776 Å, 2θ 51.5, intensity 27, (1 2 7)



# LaPm5Rh4
Simulated powder diffractogram, Cu Ka. Input: a cell relaxed with GGA-PBE.
No peak broadening, texture or thermal motion is included.

Lattice parameters (Å, degrees): 15.150 4.867 7.097 90.00 94.66 90.00
Space group C2/m (No. 12)
Symmetry-distinct sites (fractional):
1 La 0.000 0.000 0.000 [2 per cell]
2 Pm 0.000 0.000 0.500 [2 per cell]
3 Pm 0.166 0.500 0.540 [4 per cell]
4 Pm 0.169 0.500 0.045 [4 per cell]
5 Rh 0.007 0.500 0.756 [4 per cell]
6 Rh 0.161 0.000 0.268 [4 per cell]

Main lines, most intense first (10° ≤ 2θ ≤ 90°):
2.561 Å, 2θ 35.0, intensity 100, (3 1 -2)
2.420 Å, 2θ 37.2, intensity 83, (3 1 2)
2.517 Å, 2θ 35.7, intensity 53, (6 0 0)
2.434 Å, 2θ 36.9, intensity 50, (0 2 0)
1.749 Å, 2θ 52.3, intensity 35, (6 2 0)
3.499 Å, 2θ 25.5, intensity 31, (3 1 0)
1.491 Å, 2θ 62.3, intensity 18, (9 1 -2)
2.778 Å, 2θ 32.2, intensity 16, (1 1 2)
1.428 Å, 2θ 65.3, intensity 16, (3 3 -2)
1.402 Å, 2θ 66.7, intensity 15, (3 3 2)



# LaPm4Rh3
Simulated powder diffractogram, Cu Ka. Input: a cell relaxed with GGA-PBE.
No peak broadening, texture or thermal motion is included.

Lattice parameters (Å, degrees): 13.625 7.148 10.515 90.00 113.32 90.00
Space group Cc (No. 9)
Symmetry-distinct sites (fractional):
1 La 0.000 0.180 0.000 [4 per cell]
2 Pm 0.102 0.337 0.686 [4 per cell]
3 Pm 0.196 0.162 0.400 [4 per cell]
4 Pm 0.295 0.335 0.111 [4 per cell]
5 Pm 0.392 0.179 0.798 [4 per cell]
6 Rh 0.095 0.500 0.432 [4 per cell]
7 Rh 0.196 0.002 0.149 [4 per cell]
8 Rh 0.301 0.496 0.366 [4 per cell]

Main lines, most intense first (10° ≤ 2θ ≤ 90°):
3.119 Å, 2θ 28.6, intensity 100, (1 1 -3)
3.051 Å, 2θ 29.3, intensity 95, (3 1 1)
3.139 Å, 2θ 28.4, intensity 95, (2 2 -1)
2.047 Å, 2θ 44.2, intensity 81, (1 3 2)
2.418 Å, 2θ 37.2, intensity 68, (4 2 -2)
2.425 Å, 2θ 37.1, intensity 52, (3 1 -4)
2.362 Å, 2θ 38.1, intensity 52, (5 1 0)
2.002 Å, 2θ 45.3, intensity 41, (2 0 4)
1.725 Å, 2θ 53.1, intensity 26, (2 4 -1)
6.256 Å, 2θ 14.2, intensity 25, (2 0 0)



# La3PmRh8
Simulated powder diffractogram, Cu Ka. Input: a cell relaxed with GGA-PBE.
No peak broadening, texture or thermal motion is included.

Lattice parameters (Å, degrees): 5.4325 5.4325 26.6612 90.00 90.00 120.00
Space group R3m (No. 160, hexagonal axes)
Symmetry-distinct sites (fractional):
1 La 0.0000 0.0000 0.0000 [3 per cell]
2 La 0.0000 0.0000 0.1249 [3 per cell]
3 La 0.0000 0.0000 0.6252 [3 per cell]
4 Pm 0.0000 0.0000 0.5000 [3 per cell]
5 Rh 0.0000 0.0000 0.3125 [3 per cell]
6 Rh 0.0000 0.0000 0.8127 [3 per cell]
7 Rh 0.0005 0.5002 0.0631 [9 per cell]
8 Rh 0.0000 0.5000 0.5619 [9 per cell]

Main lines, most intense first (10° ≤ 2θ ≤ 90°):
2.318 Å, 2θ 38.9, intensity 100, (2 0 2)
2.718 Å, 2θ 33.0, intensity 36, (1 1 0)
2.219 Å, 2θ 40.7, intensity 31, (0 0 12)
1.359 Å, 2θ 69.1, intensity 26, (2 2 0)
1.480 Å, 2θ 62.8, intensity 20, (2 0 14)
1.479 Å, 2θ 62.8, intensity 12, (3 0 6)
1.569 Å, 2θ 58.8, intensity 10, (1 2 8)
1.159 Å, 2θ 83.4, intensity 8, (2 2 12)
1.172 Å, 2θ 82.3, intensity 8, (1 3 10)
1.215 Å, 2θ 78.7, intensity 6, (3 1 8)



# La2PmSmRh2
Simulated powder diffractogram, Cu Ka. Input: a cell relaxed with GGA-PBE.
No peak broadening, texture or thermal motion is included.

Lattice parameters (Å, degrees): 15.141 6.992 6.969 90.00 113.81 90.00
Space group C2/m (No. 12)
Symmetry-distinct sites (fractional):
1 La 0.195 0.000 0.449 [4 per cell]
2 La 0.196 0.500 0.953 [4 per cell]
3 Pm 0.000 0.256 0.500 [4 per cell]
4 Sm 0.000 0.245 0.000 [4 per cell]
5 Rh 0.116 0.000 0.835 [4 per cell]
6 Rh 0.117 0.500 0.333 [4 per cell]

Main lines, most intense first (10° ≤ 2θ ≤ 90°):
2.464 Å, 2θ 36.5, intensity 100, (2 2 -2)
3.121 Å, 2θ 28.6, intensity 57, (2 2 0)
3.034 Å, 2θ 29.4, intensity 35, (4 0 -2)
2.894 Å, 2θ 30.9, intensity 26, (3 1 1)
3.188 Å, 2θ 28.0, intensity 22, (0 0 2)
2.057 Å, 2θ 44.0, intensity 16, (7 1 -1)
2.127 Å, 2θ 42.5, intensity 15, (5 1 1)
1.748 Å, 2θ 52.3, intensity 14, (0 4 0)
2.382 Å, 2θ 37.8, intensity 13, (6 0 -2)
2.777 Å, 2θ 32.2, intensity 12, (5 1 -1)